This entry pairs a crystal structure of Li2Ni3O6 with its simulated X-ray powder pattern. Radiation: λ = 1.5418 Å (Cu Kα). Structure: a crystal structure in Alexandria, relaxed with PBE+U.
Intensities are scaled so that the largest is 100.

Cell and atoms:
Unit cell a=8.6923 b=4.8710 c=9.9185 alpha=90.00 beta=96.47 gamma=90.00
Space group Cc (No. 9)
Unique sites:
Li 0.0000 0.1448 0.0000
Li 0.3368 0.1470 0.0010
Ni 0.1342 0.3090 0.7538
Ni 0.3019 0.1909 0.2609
Ni 0.4692 0.3079 0.7602
O 0.1212 0.3495 0.1605
O 0.1352 0.0032 0.3639
O 0.3064 0.1310 0.6535
O 0.3200 0.4677 0.8594
O 0.4635 0.3771 0.1506
O 0.4690 0.0162 0.3655

Peak list (6 most intense, 10 to 80 degrees two-theta, most intense first)
(hkl), two_theta, I_rel
0 0 2, 18.0, 100
3 1 -1, 36.5, 20
3 1 -3, 43.6, 17
3 1 1, 38.3, 16
3 1 3, 48.1, 13
0 2 2, 41.4, 10